Record 1
Er3MgHg: simulated PXRD pattern (Cu Kα (weighted mean of Kα1 and Kα2)), based on a PBE-relaxed structure.
Intensities are scaled so that the largest is 100.

The 10 most intense peaks (2θ = 10–90°), sorted by position:
Position (°2θ), I/Imax, hkl
19.43, 8, 0 2 1
21.69, 10, 1 3 0
32.98, 100, 1 5 1
35.24, 45, 2 0 0
43.80, 9, 0 10 0
50.69, 17, 2 0 2
57.41, 18, 2 10 0
61.82, 33, 3 5 1
69.19, 10, 2 10 2
83.95, 10, 3 5 3

Structural model:
```
data_Er3MgHg
_cell_length_a 5.0947
_cell_length_b 20.6708
_cell_length_c 5.0919
_cell_angle_alpha 90.00
_cell_angle_beta 90.00
_cell_angle_gamma 90.00
_space_group_name_H-M_alt 'C m c m'
_space_group_IT_number 63
_space_group_name_Hall '-C 2c 2'
loop_
_atom_site_label
_atom_site_fract_x
_atom_site_fract_y
_atom_site_fract_z
Er1 0.0000 0.0564 0.2500
Er2 0.0000 0.2491 0.2500
Er3 0.0000 0.4387 0.2500
Mg1 0.0000 0.1534 0.7500
Hg1 0.0000 0.3399 0.7500
```

Record 2
NdErPd14: simulated PXRD pattern (Cu Kα (weighted mean of Kα1 and Kα2)), based on a PBE-relaxed structure.
Intensities are scaled so that the largest is 100.

The 10 most intense peaks (2θ = 10–90°), sorted by position:
Position (°2θ), I/Imax, hkl
32.91, 1, 2 0 1
38.44, 100, 2 0 2
44.22, 34, 2 2 0
45.59, 15, 0 0 4
64.32, 11, 4 0 0
65.39, 20, 2 2 4
67.09, 1, 2 0 5
77.49, 25, 4 2 2
79.47, 11, 2 0 6
82.35, 10, 4 0 4

Structural model:
```
data_NdErPd14
_cell_length_a 5.7932
_cell_length_b 5.7932
_cell_length_c 7.9591
_cell_angle_alpha 90.00
_cell_angle_beta 90.00
_cell_angle_gamma 90.00
_space_group_name_H-M_alt 'P 4/m m m'
_space_group_IT_number 123
_space_group_name_Hall '-P 4 2'
loop_
_atom_site_label
_atom_site_fract_x
_atom_site_fract_y
_atom_site_fract_z
Nd1 0.0000 0.0000 0.0000
Er1 0.5000 0.5000 0.0000
Pd1 0.0000 0.0000 0.5000
Pd2 0.0000 0.5000 0.0000
Pd3 0.0000 0.5000 0.5000
Pd4 0.2527 0.2527 0.2605
Pd5 0.5000 0.5000 0.5000
```

Number 1 is which compound? Er3MgHg